# 1
For Tm3Ge6Pd20, a cell relaxed with PBE gives the computed PXRD pattern in this record (a wavelength of 1.5418 Å).

Structure:
a = 8.815 Å, b = 8.815 Å, c = 8.815 Å
α = 60.00°, β = 60.00°, γ = 60.00°
Fractional positions:
Tm 0.000 0.000 0.000
Tm 0.250 0.250 0.250
Tm 0.750 0.750 0.750
Ge 0.270 0.270 0.730
Ge 0.270 0.730 0.270
Ge 0.270 0.730 0.730
Ge 0.730 0.270 0.270
Ge 0.730 0.270 0.730
Ge 0.730 0.730 0.270
Pd 0.000 0.000 0.346
Pd 0.000 0.000 0.654
Pd 0.000 0.346 0.000
Pd 0.000 0.346 0.654
Pd 0.000 0.654 0.000
Pd 0.000 0.654 0.346
Pd 0.140 0.620 0.620
Pd 0.346 0.000 0.000
Pd 0.346 0.000 0.654
Pd 0.346 0.654 0.000
Pd 0.380 0.380 0.380
Pd 0.380 0.380 0.860
Pd 0.380 0.860 0.380
Pd 0.620 0.140 0.620
Pd 0.620 0.620 0.140
Pd 0.620 0.620 0.620
Pd 0.654 0.000 0.000
Pd 0.654 0.000 0.346
Pd 0.654 0.346 0.000
Pd 0.860 0.380 0.380

The 10 most intense peaks (2θ from 10° to 90°), low angle first:
d = 2.788 Å, I = 13.8; d = 2.545 Å, I = 29.4; d = 2.399 Å, I = 100.0; d = 2.204 Å, I = 52.1; d = 2.107 Å, I = 24.6; d = 2.078 Å, I = 14.3; d = 1.879 Å, I = 22.9; d = 1.469 Å, I = 26.0; d = 1.439 Å, I = 14.6; d = 1.272 Å, I = 29.1



# 2
For UGe4Pd6, a cell relaxed with PBE gives the computed PXRD pattern in this record (a wavelength of 1.5418 Å).

Structure:
a = 7.413 Å, b = 7.413 Å, c = 3.889 Å
α = 90.00°, β = 90.00°, γ = 120.00°
Fractional positions:
U 0.000 0.000 0.000
Ge 0.189 0.379 0.500
Ge 0.189 0.811 0.500
Ge 0.621 0.811 0.500
Ge 0.667 0.333 0.000
Pd 0.071 0.536 0.000
Pd 0.398 0.199 0.500
Pd 0.464 0.536 0.000
Pd 0.464 0.929 0.000
Pd 0.801 0.199 0.500
Pd 0.801 0.602 0.500

The 10 most intense peaks (2θ from 10° to 90°), low angle first:
d = 2.683 Å, I = 34.4; d = 2.476 Å, I = 100.0; d = 2.427 Å, I = 35.2; d = 2.059 Å, I = 19.8; d = 1.945 Å, I = 22.4; d = 1.875 Å, I = 14.6; d = 1.853 Å, I = 27.8; d = 1.619 Å, I = 11.6; d = 1.517 Å, I = 16.5; d = 1.342 Å, I = 19.1



# 3
For U2Ge3Pd5, a cell relaxed with PBE gives the computed PXRD pattern in this record (a wavelength of 1.5418 Å).

Structure:
a = 12.215 Å, b = 12.215 Å, c = 6.773 Å
α = 90.00°, β = 90.00°, γ = 159.21°
Fractional positions:
U 0.014 0.986 0.500
U 0.329 0.671 0.520
U 0.671 0.329 0.020
U 0.986 0.014 0.000
Ge 0.106 0.894 0.201
Ge 0.278 0.722 0.096
Ge 0.445 0.555 0.298
Ge 0.555 0.445 0.798
Ge 0.722 0.278 0.596
Ge 0.894 0.106 0.701
Pd 0.111 0.889 0.783
Pd 0.200 0.800 0.374
Pd 0.228 0.772 0.782
Pd 0.378 0.622 0.999
Pd 0.451 0.549 0.688
Pd 0.549 0.451 0.188
Pd 0.622 0.378 0.499
Pd 0.772 0.228 0.282
Pd 0.800 0.200 0.874
Pd 0.889 0.111 0.283

The 10 most intense peaks (2θ from 10° to 90°), low angle first:
d = 2.586 Å, I = 33.8; d = 2.546 Å, I = 100.0; d = 2.515 Å, I = 64.3; d = 2.344 Å, I = 14.7; d = 2.284 Å, I = 33.7; d = 2.265 Å, I = 20.0; d = 2.204 Å, I = 45.0; d = 2.114 Å, I = 19.5; d = 1.677 Å, I = 21.3; d = 1.360 Å, I = 20.0



# 4
For VGePd6, a cell relaxed with PBE gives the computed PXRD pattern in this record (a wavelength of 1.5418 Å).

Structure:
a = 6.788 Å, b = 6.248 Å, c = 4.751 Å
α = 74.83°, β = 62.68°, γ = 42.50°
Fractional positions:
V 0.000 0.000 0.000
Ge 0.500 0.500 0.500
Pd 0.121 0.121 0.379
Pd 0.246 0.246 0.754
Pd 0.379 0.379 0.121
Pd 0.621 0.621 0.879
Pd 0.754 0.754 0.246
Pd 0.879 0.879 0.621

The 10 most intense peaks (2θ from 10° to 90°), low angle first:
d = 2.259 Å, I = 100.0; d = 1.974 Å, I = 33.1; d = 1.924 Å, I = 15.3; d = 1.394 Å, I = 5.3; d = 1.378 Å, I = 19.8; d = 1.189 Å, I = 11.7; d = 1.187 Å, I = 12.0; d = 1.165 Å, I = 11.5; d = 1.131 Å, I = 5.1; d = 1.129 Å, I = 5.3



# 5
For Y2Ge5Pd3, a cell relaxed with PBE gives the computed PXRD pattern in this record (a wavelength of 1.5418 Å).

Structure:
a = 12.416 Å, b = 12.416 Å, c = 6.996 Å
α = 90.00°, β = 90.00°, γ = 159.71°
Fractional positions:
Y 0.020 0.980 0.500
Y 0.326 0.674 0.499
Y 0.674 0.326 0.999
Y 0.980 0.020 0.000
Ge 0.102 0.898 0.152
Ge 0.205 0.795 0.687
Ge 0.211 0.789 0.275
Ge 0.382 0.618 0.026
Ge 0.452 0.548 0.329
Ge 0.548 0.452 0.829
Ge 0.618 0.382 0.526
Ge 0.789 0.211 0.775
Ge 0.795 0.205 0.187
Ge 0.898 0.102 0.652
Pd 0.106 0.894 0.780
Pd 0.278 0.722 0.970
Pd 0.445 0.555 0.716
Pd 0.555 0.445 0.216
Pd 0.722 0.278 0.470
Pd 0.894 0.106 0.280

The 10 most intense peaks (2θ from 10° to 90°), low angle first:
d = 2.590 Å, I = 100.0; d = 2.542 Å, I = 60.7; d = 2.307 Å, I = 43.0; d = 2.187 Å, I = 52.4; d = 2.179 Å, I = 18.6; d = 1.995 Å, I = 19.1; d = 1.926 Å, I = 28.5; d = 1.587 Å, I = 14.9; d = 1.388 Å, I = 19.4; d = 1.366 Å, I = 12.4



# 6
For YGe3Pd5, a cell relaxed with PBE gives the computed PXRD pattern in this record (a wavelength of 1.5418 Å).

Structure:
a = 6.891 Å, b = 6.891 Å, c = 13.036 Å
α = 90.00°, β = 90.00°, γ = 148.05°
Fractional positions:
Y 0.124 0.876 0.750
Y 0.876 0.124 0.250
Ge 0.125 0.875 0.250
Ge 0.379 0.621 0.042
Ge 0.379 0.621 0.458
Ge 0.621 0.379 0.542
Ge 0.621 0.379 0.958
Ge 0.875 0.125 0.750
Pd 0.000 0.000 0.000
Pd 0.000 0.000 0.500
Pd 0.202 0.798 0.075
Pd 0.202 0.798 0.425
Pd 0.456 0.544 0.647
Pd 0.456 0.544 0.853
Pd 0.544 0.456 0.147
Pd 0.544 0.456 0.353
Pd 0.798 0.202 0.575
Pd 0.798 0.202 0.925

The 10 most intense peaks (2θ from 10° to 90°), low angle first:
d = 6.624 Å, I = 25.3; d = 6.518 Å, I = 30.3; d = 2.810 Å, I = 23.4; d = 2.793 Å, I = 56.7; d = 2.633 Å, I = 48.0; d = 2.429 Å, I = 67.0; d = 2.175 Å, I = 36.6; d = 2.121 Å, I = 31.3; d = 2.062 Å, I = 100.0; d = 1.897 Å, I = 46.4



# 7
For Y2ZnGe3Pd4, a cell relaxed with PBE gives the computed PXRD pattern in this record (a wavelength of 1.5418 Å).

Structure:
a = 4.235 Å, b = 4.235 Å, c = 10.364 Å
α = 90.00°, β = 90.00°, γ = 90.00°
Fractional positions:
Y 0.000 0.500 0.249
Y 0.500 0.000 0.751
Zn 0.500 0.500 0.000
Ge 0.000 0.000 0.000
Ge 0.000 0.500 0.634
Ge 0.500 0.000 0.366
Pd 0.000 0.000 0.500
Pd 0.000 0.500 0.866
Pd 0.500 0.000 0.134
Pd 0.500 0.500 0.500

The 10 most intense peaks (2θ from 10° to 90°), low angle first:
d = 2.677 Å, I = 49.0; d = 2.593 Å, I = 100.0; d = 2.117 Å, I = 65.5; d = 1.959 Å, I = 39.1; d = 1.862 Å, I = 28.2; d = 1.661 Å, I = 22.6; d = 1.497 Å, I = 30.3; d = 1.398 Å, I = 20.5; d = 1.296 Å, I = 27.9; d = 1.105 Å, I = 14.6



# 8
For Zn5GePd6, a cell relaxed with PBE gives the computed PXRD pattern in this record (a wavelength of 1.5418 Å).

Structure:
a = 4.499 Å, b = 5.838 Å, c = 6.774 Å
α = 90.00°, β = 100.37°, γ = 90.00°
Fractional positions:
Zn 0.000 0.000 0.000
Zn 0.339 0.500 0.656
Zn 0.341 0.000 0.663
Zn 0.659 0.000 0.337
Zn 0.661 0.500 0.344
Ge 0.000 0.500 0.000
Pd 0.155 0.251 0.327
Pd 0.155 0.749 0.327
Pd 0.500 0.253 0.000
Pd 0.500 0.747 0.000
Pd 0.845 0.251 0.673
Pd 0.845 0.749 0.673

The 10 most intense peaks (2θ from 10° to 90°), low angle first:
d = 2.923 Å, I = 4.5; d = 2.220 Å, I = 100.0; d = 2.067 Å, I = 40.3; d = 1.707 Å, I = 10.7; d = 1.463 Å, I = 6.3; d = 1.460 Å, I = 6.4; d = 1.316 Å, I = 17.3; d = 1.222 Å, I = 13.5; d = 1.220 Å, I = 13.6; d = 1.109 Å, I = 5.1



# 9
For Pm4Ge, a cell relaxed with PBE gives the computed PXRD pattern in this record (a wavelength of 1.5418 Å).

Structure:
a = 7.580 Å, b = 7.580 Å, c = 6.819 Å
α = 90.00°, β = 90.00°, γ = 125.03°
Fractional positions:
Pm 0.041 0.293 0.074
Pm 0.207 0.459 0.574
Pm 0.293 0.041 0.574
Pm 0.459 0.207 0.074
Pm 0.541 0.793 0.926
Pm 0.707 0.959 0.426
Pm 0.793 0.541 0.426
Pm 0.959 0.707 0.926
Ge 0.250 0.750 0.250
Ge 0.750 0.250 0.750

The 10 most intense peaks (2θ from 10° to 90°), low angle first:
d = 3.362 Å, I = 50.4; d = 3.303 Å, I = 20.3; d = 2.988 Å, I = 46.3; d = 2.825 Å, I = 100.0; d = 2.530 Å, I = 30.7; d = 2.424 Å, I = 22.1; d = 2.394 Å, I = 28.3; d = 1.819 Å, I = 27.6; d = 1.643 Å, I = 31.9; d = 1.530 Å, I = 17.3